Starting from a DFT-relaxed cell (PBE+U, Alexandria), the PXRD pattern of RbVCuF6 was simulated for Cu Kα.

Atomic structure:
a = 6.9453 Å, b = 7.6096 Å, c = 10.3098 Å
α = 90.00°, β = 90.00°, γ = 90.00°
Space group Pnma (No. 62)
Asymmetric unit:
Rb 0.0032 0.2500 0.1165 (multiplicity 4)
V 0.0000 0.0000 0.5000 (multiplicity 4)
Cu 0.1849 0.2500 0.7614 (multiplicity 4)
F 0.0729 0.7500 0.1744 (multiplicity 4)
F 0.0786 0.2500 0.4712 (multiplicity 4)
F 0.1227 0.5006 0.6681 (multiplicity 8)
F 0.2440 0.5647 0.4232 (multiplicity 8)

The 10 most intense peaks (10° ≤ 2θ ≤ 90°), by angle:
24.5 deg, 3.636 Å, I = 34.6, (1 1 2)
28.1 deg, 3.175 Å, I = 100.0, (1 2 1)
28.5 deg, 3.132 Å, I = 58.2, (0 1 3)
29.0 deg, 3.080 Å, I = 37.9, (1 0 3)
29.2 deg, 3.061 Å, I = 28.6, (0 2 2)
29.6 deg, 3.021 Å, I = 61.8, (2 1 1)
31.1 deg, 2.880 Å, I = 18.9, (2 0 2)
44.4 deg, 2.041 Å, I = 36.5, (0 3 3)
47.8 deg, 1.902 Å, I = 28.9, (0 4 0)
50.2 deg, 1.818 Å, I = 42.4, (2 2 4)